For NdGa2NiIr, a structure optimized by DFT (GGA-PBE) gives the theoretical PXRD pattern in this record (Cu Kα).
No peak broadening, texture or thermal motion is included.

Structure:
```
data_NdGa2NiIr
_chemical_formula_sum 'Nd2 Ga4 Ni2 Ir2'
_cell_length_a 4.1429
_cell_length_b 4.1429
_cell_length_c 10.5072
_cell_angle_alpha 90.00
_cell_angle_beta 90.00
_cell_angle_gamma 90.00
_symmetry_space_group_name_H-M 'I -4 m 2'
_symmetry_Int_Tables_number 119
_symmetry_space_group_name_Hall 'I -4 -2'
loop_
_atom_site_label
_atom_site_type_symbol
_atom_site_fract_x
_atom_site_fract_y
_atom_site_fract_z
Nd1 Nd 0.0000 0.0000 0.0000
Ga1 Ga 0.0000 0.0000 0.3758
Ni1 Ni 0.0000 0.5000 0.7500
Ir1 Ir 0.0000 0.5000 0.2500
```

Principal peaks in the range 15 to 90 degrees two-theta, sorted by position:
2θ (°)	d [Å]	I_rel
23.08	3.854	30
33.50	2.675	54
35.07	2.559	100
43.70	2.071	50
46.43	1.956	19
48.58	1.874	20
56.16	1.638	25
61.71	1.503	19
63.51	1.465	16
67.38	1.390	15
74.67	1.271	22
88.06	1.109	13

---

For SiSnN2, a structure optimized by DFT (GGA-PBE) gives the theoretical PXRD pattern in this record (Cu Kα).
No peak broadening, texture or thermal motion is included.

Structure:
```
data_SiSnN2
_chemical_formula_sum 'Si4 Sn4 N8'
_cell_length_a 5.3624
_cell_length_b 5.3624
_cell_length_c 7.4964
_cell_angle_alpha 90.00
_cell_angle_beta 90.00
_cell_angle_gamma 90.00
_symmetry_space_group_name_H-M 'I -4 2 d'
_symmetry_Int_Tables_number 122
_symmetry_space_group_name_Hall 'I -4 2bw'
loop_
_atom_site_label
_atom_site_type_symbol
_atom_site_fract_x
_atom_site_fract_y
_atom_site_fract_z
Si1 Si 0.0000 0.0000 0.0000
Sn1 Sn 0.0000 0.0000 0.5000
N1 N 0.1180 0.2500 0.1250
```

Principal peaks in the range 15 to 90 degrees two-theta, sorted by position:
2θ (°)	d [Å]	I_rel
20.36	4.361	41
33.42	2.681	42
33.62	2.666	100
39.45	2.284	33
39.80	2.265	16
47.99	1.896	18
52.92	1.730	9
59.87	1.545	38
60.25	1.536	21
70.68	1.333	12
80.02	1.199	10
80.13	1.198	9

---

For La5Hg2Ru2, a structure optimized by DFT (GGA-PBE) gives the theoretical PXRD pattern in this record (Cu Kα).
No peak broadening, texture or thermal motion is included.

Structure:
```
data_La5Hg2Ru2
_chemical_formula_sum 'La20 Hg8 Ru8'
_cell_length_a 16.4950
_cell_length_b 7.8512
_cell_length_c 7.9619
_cell_angle_alpha 90.00
_cell_angle_beta 90.00
_cell_angle_gamma 90.00
_symmetry_space_group_name_H-M 'C m c e'
_symmetry_Int_Tables_number 64
_symmetry_space_group_name_Hall '-C 2ac 2'
loop_
_atom_site_label
_atom_site_type_symbol
_atom_site_fract_x
_atom_site_fract_y
_atom_site_fract_z
La1 La 0.0000 0.0000 0.0000
La2 La 0.1171 0.1674 0.3322
Hg1 Hg 0.2160 0.0000 0.0000
Ru1 Ru 0.0000 0.1390 0.6387
```

Principal peaks in the range 15 to 90 degrees two-theta, sorted by position:
2θ (°)	d [Å]	I_rel
29.96	2.983	39
31.23	2.864	44
31.48	2.842	100
32.02	2.795	48
33.47	2.678	56
36.14	2.486	42
36.55	2.458	41
37.20	2.417	35
41.62	2.170	25
56.74	1.623	26
62.74	1.481	23
63.01	1.475	24

---

For Eu3As4, a structure optimized by DFT (GGA-PBE) gives the theoretical PXRD pattern in this record (Cu Kα).
No peak broadening, texture or thermal motion is included.

Structure:
```
data_Eu3As4
_chemical_formula_sum 'Eu24 As32'
_cell_length_a 14.6597
_cell_length_b 17.3904
_cell_length_c 5.7987
_cell_angle_alpha 90.00
_cell_angle_beta 90.00
_cell_angle_gamma 90.00
_symmetry_space_group_name_H-M 'F d d 2'
_symmetry_Int_Tables_number 43
_symmetry_space_group_name_Hall 'F 2 -2d'
loop_
_atom_site_label
_atom_site_type_symbol
_atom_site_fract_x
_atom_site_fract_y
_atom_site_fract_z
Eu1 Eu 0.0000 0.0000 0.0000
Eu2 Eu 0.0036 0.3342 0.0349
As1 As 0.0833 0.1676 0.0362
As2 As 0.0901 0.0044 0.4967
```

Principal peaks in the range 15 to 90 degrees two-theta, sorted by position:
2θ (°)	d [Å]	I_rel
22.52	3.948	13
24.31	3.662	16
28.42	3.141	48
33.24	2.696	100
37.72	2.385	54
44.18	2.050	36
48.83	1.865	23
53.37	1.717	16
59.46	1.554	27
64.27	1.449	11
72.21	1.308	12
74.30	1.277	18